This entry pairs a crystal structure of LiMn2P3O12 with its computed X-ray powder pattern. Radiation: copper Kα. Structure: a DFT-relaxed cell (PBE+U, the Materials Project).
Lines closer than 0.1° are merged.

Top 6 peaks for 2θ = 10–90°, by intensity:
2θ 16.25, intensity 100; 2θ 30.07, intensity 30; 2θ 33.68, intensity 17; 2θ 33.33, intensity 17; 2θ 14.53, intensity 16; 2θ 26.31, intensity 15

Crystal structure
```
LiMn2P3O12
1.0
5.9178 -6.0983 0.0000
5.9178 6.0983 0.0000
-2.4125 0.0000 5.6986
Li Mn P O
2 4 6 24
Direct
0.0000 0.0000 0.0000
0.0000 0.0000 0.5000
0.1200 0.4406 0.8627
0.4406 0.1200 0.3627
0.5594 0.8800 0.6373
0.8800 0.5594 0.1373
0.1479 0.3389 0.3587
0.2241 0.7759 0.2500
0.3389 0.1479 0.8587
0.6611 0.8521 0.1413
0.7759 0.2241 0.7500
0.8521 0.6611 0.6413
0.0385 0.1831 0.2875
0.0463 0.7533 0.2737
0.0899 0.4407 0.1700
0.1439 0.4691 0.5898
0.1831 0.0385 0.7875
0.2429 0.6492 0.0260
0.2467 0.9537 0.2263
0.3110 0.3330 0.8917
0.3330 0.3110 0.3917
0.3508 0.7571 0.4740
0.4407 0.0899 0.6700
0.4691 0.1439 0.0898
0.5309 0.8561 0.9102
0.5593 0.9101 0.3300
0.6492 0.2429 0.5260
0.6670 0.6890 0.6083
0.6890 0.6670 0.1083
0.7533 0.0463 0.7737
0.7571 0.3508 0.9740
0.8169 0.9615 0.2125
0.8561 0.5309 0.4102
0.9101 0.5593 0.8300
0.9537 0.2467 0.7263
0.9615 0.8169 0.7125
```


This entry pairs a crystal structure of LiMnPO4 with its computed X-ray powder pattern. Radiation: copper Kα. Structure: a DFT-relaxed cell (PBE+U, the Materials Project).
Lines closer than 0.1° are merged.

Top 6 peaks for 2θ = 10–90°, by intensity:
2θ 24.03, intensity 100; 2θ 22.74, intensity 68; 2θ 16.48, intensity 55; 2θ 33.31, intensity 53; 2θ 35.15, intensity 51; 2θ 27.45, intensity 47

Crystal structure
```
LiMnPO4
1.0
6.0816 0.0000 0.0000
0.0000 5.1074 0.0000
-0.0083 0.0000 11.5309
Li Mn P O
4 4 4 16
Direct
0.2156 0.9996 0.0621
0.2844 0.0000 0.5620
0.7156 0.5000 0.4380
0.7844 0.4996 0.9379
0.0311 0.4957 0.6690
0.4691 0.4951 0.1690
0.5309 0.9951 0.8310
0.9689 0.9957 0.3310
0.2349 0.5031 0.4144
0.2652 0.5028 0.9145
0.7348 0.0028 0.0855
0.7651 0.0031 0.5856
0.0214 0.3981 0.3546
0.0568 0.4223 0.8439
0.2204 0.8062 0.4191
0.2427 0.3885 0.0391
0.2572 0.3889 0.5391
0.2797 0.8059 0.9191
0.4432 0.4224 0.3440
0.4785 0.3976 0.8547
0.5215 0.8976 0.1453
0.5568 0.9224 0.6560
0.7203 0.3059 0.0809
0.7428 0.8889 0.4609
0.7573 0.8885 0.9609
0.7796 0.3062 0.5809
0.9432 0.9223 0.1561
0.9786 0.8981 0.6454
```


This entry pairs a crystal structure of LiMn2P2O8 with its computed X-ray powder pattern. Radiation: copper Kα. Structure: a DFT-relaxed cell (PBE+U, the Materials Project).
Lines closer than 0.1° are merged.

Top 6 peaks for 2θ = 10–90°, by intensity:
2θ 21.40, intensity 100; 2θ 21.78, intensity 86; 2θ 35.88, intensity 73; 2θ 41.24, intensity 18; 2θ 41.93, intensity 17; 2θ 62.86, intensity 9

Crystal structure
```
LiMn2P2O8
1.0
3.6128 -3.4676 0.0000
3.6128 3.4676 0.0000
-0.1934 0.0000 7.2390
Li Mn P O
1 2 2 8
Direct
0.0000 0.0000 0.0000
0.0423 0.9577 0.5000
0.4612 0.5388 0.0000
0.5162 0.0070 0.2445
0.9930 0.4838 0.7555
0.0699 0.3589 0.5695
0.0778 0.7810 0.7675
0.1526 0.3432 0.9222
0.2190 0.9222 0.2325
0.5495 0.3070 0.2090
0.6411 0.9301 0.4305
0.6568 0.8474 0.0778
0.6930 0.4505 0.7910
```


This entry pairs a crystal structure of LiMn2P2O8 with its computed X-ray powder pattern. Radiation: copper Kα. Structure: a DFT-relaxed cell (PBE+U, the Materials Project).
Lines closer than 0.1° are merged.

Top 6 peaks for 2θ = 10–90°, by intensity:
2θ 14.33, intensity 100; 2θ 27.87, intensity 72; 2θ 16.54, intensity 38; 2θ 33.22, intensity 35; 2θ 33.70, intensity 30; 2θ 33.06, intensity 28

Crystal structure
```
LiMn2P2O8
1.0
6.7613 0.0000 0.0000
-2.7148 8.1182 0.0000
-2.8269 -1.1641 8.1627
Li Mn P O
3 6 6 24
Direct
0.0000 0.0000 0.0000
0.2563 0.4903 0.4934
0.7437 0.5097 0.5066
0.1387 0.8815 0.5597
0.2592 0.7812 0.2178
0.3599 0.4360 0.1182
0.6401 0.5640 0.8818
0.7408 0.2188 0.7822
0.8613 0.1185 0.4403
0.1146 0.6241 0.8345
0.2449 0.2016 0.7892
0.3755 0.1611 0.3823
0.6245 0.8389 0.6177
0.7551 0.7984 0.2108
0.8854 0.3759 0.1655
0.0400 0.2360 0.6665
0.0884 0.6686 0.6550
0.1125 0.5159 0.1902
0.1502 0.7692 0.9566
0.1948 0.0973 0.4658
0.2253 0.2206 0.9596
0.2499 0.0228 0.7647
0.3039 0.0402 0.2268
0.3071 0.5513 0.8929
0.3942 0.8253 0.4908
0.3970 0.3432 0.3495
0.4622 0.3209 0.7709
0.5378 0.6791 0.2291
0.6030 0.6568 0.6505
0.6058 0.1747 0.5092
0.6929 0.4487 0.1071
0.6961 0.9598 0.7732
0.7501 0.9772 0.2353
0.7747 0.7794 0.0404
0.8052 0.9027 0.5342
0.8498 0.2308 0.0434
0.8875 0.4841 0.8098
0.9116 0.3314 0.3450
0.9600 0.7640 0.3335
```


This entry pairs a crystal structure of LiMnPO4 with its computed X-ray powder pattern. Radiation: copper Kα. Structure: a DFT-relaxed cell (PBE+U, the Materials Project).
Lines closer than 0.1° are merged.

Top 6 peaks for 2θ = 10–90°, by intensity:
2θ 12.02, intensity 100; 2θ 26.37, intensity 95; 2θ 30.62, intensity 49; 2θ 30.07, intensity 41; 2θ 24.24, intensity 30; 2θ 28.87, intensity 28

Crystal structure
```
LiMnPO4
1.0
4.6286 0.0000 0.0000
-1.3207 5.1420 0.0000
-1.8664 -0.5075 7.3609
Li Mn P O
2 2 2 8
Direct
0.2260 0.2175 0.4867
0.7740 0.7825 0.5133
0.4456 0.2618 0.1057
0.5544 0.7382 0.8943
0.1470 0.6938 0.2432
0.8530 0.3062 0.7568
0.1378 0.8431 0.4136
0.1868 0.4144 0.8811
0.2950 0.4620 0.2975
0.3405 0.8771 0.1295
0.6595 0.1229 0.8705
0.7050 0.5380 0.7025
0.8132 0.5856 0.1189
0.8622 0.1569 0.5864
```